Entry 1:
For Tb2Ho2Th, a structure optimized by DFT (PBE) gives the theoretical powder XRD pattern in this record (λ = 1.5418 Å (Cu Kα)).
Kinematic intensities with the Lorentz-polarization factor, no thermal factor.

Top 10 peaks for 2θ = 10–90°, sorted by position:
- (1 1 0), 31.0 deg, 2.889 Å, rel. 94
- (1 0 2), 31.4 deg, 2.848 Å, rel. 100
- (0 1 2), 33.3 deg, 2.691 Å, rel. 42
- (2 0 -1), 33.4 deg, 2.680 Å, rel. 43
- (0 1 3), 41.3 deg, 2.188 Å, rel. 20
- (2 1 -3), 47.9 deg, 1.899 Å, rel. 31
- (2 1 2), 54.1 deg, 1.695 Å, rel. 18
- (3 1 -1), 58.2 deg, 1.584 Å, rel. 16
- (3 0 1), 58.5 deg, 1.577 Å, rel. 26
- (1 2 2), 62.2 deg, 1.492 Å, rel. 29

Structural model:
abc: 5.360 3.503 8.820
angles: 90.00 107.63 90.00
Space group P2/m (No. 10)
Inequivalent atoms, fractional coordinates:
Tb (0.199, 0.000, 0.398) [2 per cell]
Ho (0.394, 0.500, 0.788) [2 per cell]
Th (0.000, 0.000, 0.000) [1 per cell]

Entry 2:
For Pm4CoTe3, a structure optimized by DFT (PBE) gives the theoretical powder XRD pattern in this record (λ = 1.5418 Å (Cu Kα)).
Kinematic intensities with the Lorentz-polarization factor, no thermal factor.

Top 10 peaks for 2θ = 10–90°, sorted by position:
- (1 2 1), 28.6 deg, 3.123 Å, rel. 100
- (2 0 -2), 28.9 deg, 3.094 Å, rel. 49
- (3 2 -1), 40.2 deg, 2.246 Å, rel. 34
- (0 4 0), 40.8 deg, 2.213 Å, rel. 16
- (2 0 2), 41.0 deg, 2.203 Å, rel. 18
- (1 2 -3), 42.0 deg, 2.153 Å, rel. 33
- (4 0 0), 49.3 deg, 1.847 Å, rel. 8
- (2 4 -2), 50.7 deg, 1.800 Å, rel. 15
- (0 0 4), 52.4 deg, 1.746 Å, rel. 9
- (2 4 2), 59.2 deg, 1.561 Å, rel. 10

Structural model:
abc: 7.820 8.853 7.392
angles: 90.00 109.13 90.00
Space group P2/c (No. 13)
Inequivalent atoms, fractional coordinates:
Pm (0.211, 0.112, 0.009) [4 per cell]
Pm (0.226, 0.337, 0.469) [4 per cell]
Co (0.000, 0.117, 0.250) [2 per cell]
Te (0.000, 0.384, 0.750) [2 per cell]
Te (0.500, 0.120, 0.750) [2 per cell]
Te (0.500, 0.386, 0.250) [2 per cell]

Entry 3:
For Tm6TePt3, a structure optimized by DFT (PBE) gives the theoretical powder XRD pattern in this record (λ = 1.5418 Å (Cu Kα)).
Kinematic intensities with the Lorentz-polarization factor, no thermal factor.

Top 10 peaks for 2θ = 10–90°, sorted by position:
- (1 1 1), 25.3 deg, 3.518 Å, rel. 40
- (1 1 2), 29.6 deg, 3.017 Å, rel. 100
- (2 0 -4), 31.2 deg, 2.871 Å, rel. 33
- (4 0 -2), 31.3 deg, 2.855 Å, rel. 41
- (0 1 3), 32.5 deg, 2.755 Å, rel. 48
- (3 1 1), 35.4 deg, 2.535 Å, rel. 74
- (0 1 4), 39.0 deg, 2.307 Å, rel. 41
- (3 1 -4), 40.5 deg, 2.225 Å, rel. 34
- (0 2 0), 44.3 deg, 2.046 Å, rel. 69
- (4 2 -2), 55.3 deg, 1.662 Å, rel. 29

Structural model:
abc: 11.649 4.091 11.733
angles: 90.00 107.71 90.00
Space group P2_1/m (No. 11)
Inequivalent atoms, fractional coordinates:
Tm (0.022, 0.250, 0.375) [2 per cell]
Tm (0.101, 0.250, 0.926) [2 per cell]
Tm (0.220, 0.750, 0.255) [2 per cell]
Tm (0.265, 0.250, 0.691) [2 per cell]
Tm (0.407, 0.750, 0.539) [2 per cell]
Tm (0.436, 0.250, 0.141) [2 per cell]
Te (0.320, 0.750, 0.924) [2 per cell]
Pt (0.068, 0.250, 0.151) [2 per cell]
Pt (0.167, 0.750, 0.514) [2 per cell]
Pt (0.481, 0.750, 0.313) [2 per cell]